1.
Starting from a crystal structure in Alexandria, relaxed with PBE, the powder diffractogram of NpNiAsH was computed for Cu Kα, 1.54184 Å.

Structure:
Unit cell a=4.0716 b=4.0716 c=3.9160 alpha=90.00 beta=90.00 gamma=120.00
Space group P3m1 (No. 156)
Inequivalent atoms, fractional coordinates:
Np (0.0000, 0.0000, 0.0000) (multiplicity 1)
Ni (0.6667, 0.3333, 0.5496) (multiplicity 1)
As (0.3333, 0.6667, 0.4747) (multiplicity 1)
H (0.6667, 0.3333, 0.9778) (multiplicity 1)

Main lines, in order of rising 2θ (2θ from 10° to 90°):
2θ = 25.26°, intensity 29, hkl 1 0 0; 2θ = 34.22°, intensity 100, hkl 0 1 1; 2θ = 44.50°, intensity 37, hkl 1 1 0; 2θ = 46.37°, intensity 10, hkl 0 0 2; 2θ = 53.53°, intensity 10, hkl 1 0 2; 2θ = 57.31°, intensity 23, hkl 2 0 1; 2θ = 66.22°, intensity 21, hkl 1 1 2; 2θ = 75.33°, intensity 21, hkl 1 2 1; 2θ = 78.07°, intensity 9, hkl 0 1 3; 2θ = 81.97°, intensity 6, hkl 3 0 0



2.
Starting from a crystal structure in Alexandria, relaxed with PBE, the powder diffractogram of Np3As2H2 was computed for Cu Kα, 1.54184 Å.

Structure:
Unit cell a=3.9568 b=17.3740 c=6.4709 alpha=90.00 beta=90.00 gamma=90.00
Space group Cmcm (No. 63)
Inequivalent atoms, fractional coordinates:
Np (0.0000, 0.0671, 0.0616) (multiplicity 8)
Np (0.0000, 0.2917, 0.2500) (multiplicity 4)
As (0.0000, 0.3330, 0.7500) (multiplicity 4)
As (0.0000, 0.4590, 0.2500) (multiplicity 4)
H (0.0000, 0.1883, 0.5669) (multiplicity 8)

Main lines, in order of rising 2θ (2θ from 10° to 90°):
2θ = 23.05°, intensity 42, hkl 1 1 0; 2θ = 26.91°, intensity 57, hkl 1 1 1; 2θ = 27.30°, intensity 47, hkl 1 3 0; 2θ = 29.46°, intensity 57, hkl 0 2 2; 2θ = 34.35°, intensity 68, hkl 1 5 0; 2θ = 36.24°, intensity 100, hkl 1 1 2; 2θ = 37.13°, intensity 51, hkl 1 5 1; 2θ = 45.87°, intensity 42, hkl 2 0 0; 2θ = 50.71°, intensity 48, hkl 1 3 3; 2θ = 51.86°, intensity 46, hkl 1 7 2



3.
Starting from a crystal structure in Alexandria, relaxed with PBE, the powder diffractogram of NpAsH2Ru was computed for Cu Kα, 1.54184 Å.

Structure:
Unit cell a=4.0023 b=10.3954 c=5.8215 alpha=90.00 beta=90.00 gamma=90.00
Space group Cmcm (No. 63)
Inequivalent atoms, fractional coordinates:
Np (0.0000, 0.2103, 0.2500) (multiplicity 4)
As (0.0000, 0.0772, 0.7500) (multiplicity 4)
H (0.0000, 0.3358, 0.5692) (multiplicity 8)
Ru (0.0000, 0.5000, 0.0000) (multiplicity 4)

Main lines, in order of rising 2θ (2θ from 10° to 90°):
2θ = 28.39°, intensity 100, hkl 1 1 1; 2θ = 34.23°, intensity 56, hkl 1 3 0; 2θ = 35.34°, intensity 56, hkl 0 2 2; 2θ = 37.65°, intensity 84, hkl 1 3 1; 2θ = 37.91°, intensity 49, hkl 0 4 1; 2θ = 39.24°, intensity 65, hkl 1 1 2; 2θ = 45.32°, intensity 35, hkl 2 0 0; 2θ = 58.74°, intensity 27, hkl 2 2 2; 2θ = 59.28°, intensity 49, hkl 1 5 2; 2θ = 60.52°, intensity 25, hkl 2 4 1